# ScUF6
Calculated X-ray diffraction stick pattern, Cu Kα (weighted mean of Kα1 and Kα2). Input: a cell relaxed with GGA-PBE.
Intensities are scaled so that the largest is 100.

Top 10 peaks for 10° ≤ 2θ ≤ 90°, by angle:
2θ 16.7, I = 40; 2θ 19.2, I = 61; 2θ 21.8, I = 63; 2θ 23.5, I = 100; 2θ 27.5, I = 65; 2θ 27.6, I = 24; 2θ 36.4, I = 22; 2θ 39.0, I = 37; 2θ 40.5, I = 25; 2θ 41.9, I = 42

Cell and atoms:
Cell: 4.9731 4.9731 5.4046 Å, 96.09 96.09 110.06°
Element x y z (fractional)
Sc 0.0000 0.0000 0.0000
U 0.5000 0.5000 0.5000
F 0.0295 0.3508 0.2570
F 0.2740 0.2740 0.8103
F 0.3508 0.0295 0.2570
F 0.6492 0.9705 0.7430
F 0.7260 0.7260 0.1897
F 0.9705 0.6492 0.7430